La9Ni2Rh4: computed powder diffractogram (Cu Kα X-rays), based on a GGA-PBE-relaxed structure.

Top 8 peaks for 2θ = 10–90°, sorted by position:
| 2θ (°) | I/Imax | index |
| --- | --- | --- |
| 28.4 | 100 | 1 1 3 |
| 37.1 | 57 | 1 1 6 |
| 43.7 | 43 | 3 0 0 |
| 48.7 | 22 | 1 1 9 |
| 52.9 | 17 | 2 2 3 |
| 58.7 | 15 | 2 2 6 |
| 71.0 | 14 | 4 1 3 |
| 73.6 | 17 | 3 0 12 |

a = 7.169 Å, b = 7.169 Å, c = 19.735 Å
α = 90.00°, β = 90.00°, γ = 120.00°
Sites, in units of the cell vectors:
La (0.000, 0.343, 0.250)
La (0.000, 0.657, 0.750)
La (0.007, 0.331, 0.917)
La (0.007, 0.676, 0.417)
La (0.324, 0.331, 0.417)
La (0.324, 0.993, 0.917)
La (0.331, 0.007, 0.583)
La (0.331, 0.324, 0.083)
La (0.343, 0.000, 0.250)
La (0.343, 0.343, 0.750)
La (0.657, 0.000, 0.750)
La (0.657, 0.657, 0.250)
La (0.669, 0.676, 0.917)
La (0.669, 0.993, 0.417)
La (0.676, 0.007, 0.083)
La (0.676, 0.669, 0.583)
La (0.993, 0.324, 0.583)
La (0.993, 0.669, 0.083)
Ni (0.000, 0.000, 0.178)
Ni (0.000, 0.000, 0.322)
Ni (0.000, 0.000, 0.678)
Ni (0.000, 0.000, 0.822)
Rh (0.333, 0.667, 0.004)
Rh (0.333, 0.667, 0.162)
Rh (0.333, 0.667, 0.504)
Rh (0.333, 0.667, 0.662)
Rh (0.667, 0.333, 0.338)
Rh (0.667, 0.333, 0.496)
Rh (0.667, 0.333, 0.838)
Rh (0.667, 0.333, 0.996)